Starting from a cell relaxed with PBE, the powder diffractogram of La7SmAl4 was calculated for Cu Ka.
Neutral-atom scattering factors, no anomalous dispersion.

Crystal structure
```
data_La7SmAl4
_symmetry_space_group_name_H-M 'C 1 2/m 1'
_symmetry_Int_Tables_number 12
_cell_length_a 14.128
_cell_length_b 5.805
_cell_length_c 11.045
_cell_angle_alpha 90.00
_cell_angle_beta 124.47
_cell_angle_gamma 90.00
loop_
_symmetry_equiv_pos_as_xyz
'x,y,z'
'-x,-y,-z'
'-x,y,-z'
'x,-y,z'
'x+1/2,y+1/2,z'
'-x+1/2,-y+1/2,-z'
'-x+1/2,y+1/2,-z'
'x+1/2,-y+1/2,z'
loop_
_atom_site_label
_atom_site_type_symbol
_atom_site_fract_x
_atom_site_fract_y
_atom_site_fract_z
_atom_site_occupancy
La1 La 0.000 0.000 0.000 1
La2 La 0.067 0.500 0.381 1
La3 La 0.200 0.000 0.638 1
La4 La 0.204 0.500 0.881 1
Sm1 Sm 0.000 0.500 0.000 1
Al1 Al 0.052 0.000 0.761 1
Al2 Al 0.176 0.000 0.329 1
```

Peak list (10 most intense, 2θ from 5° to 70°, in order of rising 2θ)
(1 1 -2), 22.5 deg, I 57.8; (4 0 -1), 26.3 deg, I 56.8; (4 0 -3), 28.0 deg, I 54.6; (1 1 2), 29.2 deg, I 67.3; (3 1 -3), 29.4 deg, I 79.6; (0 2 0), 30.8 deg, I 100.0; (3 1 1), 33.5 deg, I 36.1; (5 1 -1), 37.4 deg, I 38.1; (4 2 -1), 41.0 deg, I 38.1; (4 2 -3), 42.1 deg, I 36.1

Starting from a cell relaxed with PBE, the powder diffractogram of La6Sm12Al was calculated for Cu Ka.
Neutral-atom scattering factors, no anomalous dispersion.

Crystal structure
```
data_La6Sm12Al
_symmetry_space_group_name_H-M 'R -3'
_symmetry_Int_Tables_number 148
_symmetry_space_group_name_Hall '-R 3'
_cell_length_a 12.1674
_cell_length_b 12.1674
_cell_length_c 15.0803
_cell_angle_alpha 90.00
_cell_angle_beta 90.00
_cell_angle_gamma 120.00
loop_
_atom_site_label
_atom_site_type_symbol
_atom_site_fract_x
_atom_site_fract_y
_atom_site_fract_z
_atom_site_occupancy
La1 La 0.0208 0.4246 0.1874 1
Sm1 Sm 0.0153 0.1755 0.3154 1
Sm2 Sm 0.0535 0.8545 0.9157 1
Al1 Al 0.0000 0.0000 0.5000 1
```

Peak list (10 most intense, 2θ from 5° to 70°, in order of rising 2θ)
(1 1 3), 23.0 deg, I 17.6; (0 1 5), 30.8 deg, I 40.0; (0 3 3), 31.1 deg, I 34.5; (1 3 1), 31.2 deg, I 100.0; (3 -1 4), 32.7 deg, I 67.0; (4 -1 2), 32.9 deg, I 32.7; (2 2 3), 34.5 deg, I 14.6; (5 -2 4), 44.5 deg, I 14.9; (5 2 0), 54.4 deg, I 18.0; (5 2 3), 57.6 deg, I 14.4

Starting from a cell relaxed with PBE, the powder diffractogram of La4Sm3Al4 was calculated for Cu Ka.
Neutral-atom scattering factors, no anomalous dispersion.

Crystal structure
```
data_La4Sm3Al4
_symmetry_space_group_name_H-M 'I m m m'
_symmetry_Int_Tables_number 71
_symmetry_space_group_name_Hall '-I 2 2'
_cell_length_a 3.613
_cell_length_b 9.363
_cell_length_c 19.318
_cell_angle_alpha 90.00
_cell_angle_beta 90.00
_cell_angle_gamma 90.00
loop_
_atom_site_label
_atom_site_type_symbol
_atom_site_fract_x
_atom_site_fract_y
_atom_site_fract_z
_atom_site_occupancy
La1 La 0.000 0.171 0.166 1
Sm1 Sm 0.000 0.000 0.408 1
Sm2 Sm 0.000 0.500 0.500 1
Al1 Al 0.000 0.278 0.000 1
Al2 Al 0.000 0.500 0.221 1
```

Peak list (10 most intense, 2θ from 5° to 70°, in order of rising 2θ)
(0 2 2), 21.1 deg, I 37.9; (0 1 5), 24.9 deg, I 68.8; (1 1 0), 26.4 deg, I 28.9; (1 0 3), 28.3 deg, I 73.3; (1 2 1), 31.6 deg, I 100.0; (0 3 3), 31.9 deg, I 89.6; (1 1 4), 32.4 deg, I 77.4; (0 1 7), 33.8 deg, I 62.2; (1 0 5), 34.0 deg, I 29.6; (1 3 6), 47.8 deg, I 77.6

Starting from a cell relaxed with PBE, the powder diffractogram of La2SmAl4 was calculated for Cu Ka.
Neutral-atom scattering factors, no anomalous dispersion.

Crystal structure
```
data_La2SmAl4
_symmetry_space_group_name_H-M 'I m m m'
_symmetry_Int_Tables_number 71
_symmetry_space_group_name_Hall '-I 2 2'
_cell_length_a 3.701
_cell_length_b 4.618
_cell_length_c 20.686
_cell_angle_alpha 90.00
_cell_angle_beta 90.00
_cell_angle_gamma 90.00
loop_
_atom_site_label
_atom_site_type_symbol
_atom_site_fract_x
_atom_site_fract_y
_atom_site_fract_z
_atom_site_occupancy
La1 La 0.000 0.000 0.192 1
Sm1 Sm 0.000 0.500 0.000 1
Al1 Al 0.000 0.000 0.368 1
Al2 Al 0.000 0.500 0.436 1
```

Peak list (10 most intense, 2θ from 5° to 70°, in order of rising 2θ)
(0 1 3), 23.2 deg, I 78.3; (1 0 1), 24.4 deg, I 15.9; (0 0 6), 25.8 deg, I 21.8; (1 1 2), 32.2 deg, I 100.0; (1 0 5), 32.5 deg, I 67.7; (0 1 7), 36.1 deg, I 37.9; (0 2 0), 39.0 deg, I 26.5; (1 1 8), 47.2 deg, I 21.3; (1 2 5), 51.6 deg, I 36.3; (2 1 7), 62.6 deg, I 15.1

Starting from a cell relaxed with PBE, the powder diffractogram of La5Al2Sn2 was calculated for Cu Ka.
Neutral-atom scattering factors, no anomalous dispersion.

Crystal structure
```
data_La5Al2Sn2
_symmetry_space_group_name_H-M 'C m c e'
_symmetry_Int_Tables_number 64
_symmetry_space_group_name_Hall '-C 2ac 2'
_cell_length_a 16.513
_cell_length_b 8.435
_cell_length_c 8.406
_cell_angle_alpha 90.00
_cell_angle_beta 90.00
_cell_angle_gamma 90.00
loop_
_atom_site_label
_atom_site_type_symbol
_atom_site_fract_x
_atom_site_fract_y
_atom_site_fract_z
_atom_site_occupancy
La1 La 0.000 0.000 0.000 1
La2 La 0.140 0.180 0.325 1
Al1 Al 0.000 0.111 0.613 1
Sn1 Sn 0.207 0.000 0.000 1
```

Peak list (10 most intense, 2θ from 5° to 70°, in order of rising 2θ)
(0 2 1), 23.6 deg, I 33.6; (1 1 2), 24.3 deg, I 25.9; (3 1 2), 28.7 deg, I 51.4; (0 2 2), 30.0 deg, I 53.6; (4 2 0), 30.3 deg, I 100.0; (5 1 1), 31.0 deg, I 40.8; (4 2 1), 32.2 deg, I 39.2; (1 3 1), 34.1 deg, I 62.3; (5 1 3), 43.7 deg, I 23.2; (10 2 0), 60.2 deg, I 17.4

Starting from a cell relaxed with PBE, the powder diffractogram of La2Al2Sn was calculated for Cu Ka.
Neutral-atom scattering factors, no anomalous dispersion.

Crystal structure
```
data_La2Al2Sn
_symmetry_space_group_name_H-M 'P 4/m b m'
_symmetry_Int_Tables_number 127
_symmetry_space_group_name_Hall '-P 4 2ab'
_cell_length_a 7.511
_cell_length_b 7.511
_cell_length_c 4.800
_cell_angle_alpha 90.00
_cell_angle_beta 90.00
_cell_angle_gamma 90.00
loop_
_atom_site_label
_atom_site_type_symbol
_atom_site_fract_x
_atom_site_fract_y
_atom_site_fract_z
_atom_site_occupancy
La1 La 0.172 0.328 0.000 1
Al1 Al 0.124 0.624 0.500 1
Sn1 Sn 0.000 0.000 0.500 1
```

Peak list (10 most intense, 2θ from 5° to 70°, in order of rising 2θ)
(1 1 1), 25.0 deg, I 40.3; (2 1 0), 26.5 deg, I 38.7; (2 0 1), 30.2 deg, I 81.2; (2 1 1), 32.5 deg, I 100.0; (2 2 0), 33.8 deg, I 17.3; (0 0 2), 37.5 deg, I 30.3; (3 1 0), 37.9 deg, I 44.4; (4 1 1), 53.8 deg, I 21.1; (3 1 2), 54.3 deg, I 31.5; (3 3 1), 55.3 deg, I 26.3

Starting from a cell relaxed with PBE, the powder diffractogram of LaAl2Sn was calculated for Cu Ka.
Neutral-atom scattering factors, no anomalous dispersion.

Crystal structure
```
data_LaAl2Sn
_symmetry_space_group_name_H-M 'P 4/m m m'
_symmetry_Int_Tables_number 123
_symmetry_space_group_name_Hall '-P 4 2'
_cell_length_a 4.593
_cell_length_b 4.593
_cell_length_c 4.523
_cell_angle_alpha 90.00
_cell_angle_beta 90.00
_cell_angle_gamma 90.00
loop_
_atom_site_label
_atom_site_type_symbol
_atom_site_fract_x
_atom_site_fract_y
_atom_site_fract_z
_atom_site_occupancy
La1 La 0.000 0.000 0.000 1
Al1 Al 0.000 0.500 0.500 1
Sn1 Sn 0.500 0.500 0.000 1
```

Peak list (10 most intense, 2θ from 5° to 70°, in order of rising 2θ)
(0 0 1), 19.6 deg, I 40.5; (1 1 0), 27.5 deg, I 36.6; (1 1 1), 34.0 deg, I 100.0; (2 0 0), 39.2 deg, I 33.7; (0 0 2), 39.9 deg, I 16.1; (2 0 1), 44.2 deg, I 20.8; (1 1 2), 49.1 deg, I 15.5; (2 0 2), 57.2 deg, I 22.6; (3 1 1), 67.8 deg, I 27.3; (1 1 3), 68.6 deg, I 13.2

Starting from a cell relaxed with PBE, the powder diffractogram of La4AlSn was calculated for Cu Ka.
Neutral-atom scattering factors, no anomalous dispersion.

Crystal structure
```
data_La4AlSn
_symmetry_space_group_name_H-M 'F -4 3 m'
_symmetry_Int_Tables_number 216
_symmetry_space_group_name_Hall 'F -4 2 3'
_cell_length_a 14.715
_cell_length_b 14.715
_cell_length_c 14.715
_cell_angle_alpha 90.00
_cell_angle_beta 90.00
_cell_angle_gamma 90.00
loop_
_atom_site_label
_atom_site_type_symbol
_atom_site_fract_x
_atom_site_fract_y
_atom_site_fract_z
_atom_site_occupancy
La1 La 0.000 0.000 0.192 1
La2 La 0.055 0.250 0.750 1
La3 La 0.126 0.126 0.374 1
Al1 Al 0.159 0.159 0.159 1
Sn1 Sn 0.096 0.096 0.596 1
```

Peak list (10 most intense, 2θ from 5° to 70°, in order of rising 2θ)
(3 3 1), 26.4 deg, I 32.6; (4 2 2), 29.7 deg, I 41.8; (5 1 1), 31.6 deg, I 100.0; (4 4 0), 34.5 deg, I 50.0; (5 5 3), 47.5 deg, I 15.9; (6 6 0), 52.8 deg, I 38.8; (5 5 5), 54.0 deg, I 16.5; (9 3 3), 62.8 deg, I 15.6; (10 2 0), 64.6 deg, I 10.8; (9 5 1), 65.6 deg, I 16.2

Starting from a cell relaxed with PBE, the powder diffractogram of SrLaAl was calculated for Cu Ka.
Neutral-atom scattering factors, no anomalous dispersion.

Crystal structure
```
data_SrLaAl
_symmetry_space_group_name_H-M 'P n m a'
_symmetry_Int_Tables_number 62
_cell_length_a 6.861
_cell_length_b 7.022
_cell_length_c 8.585
_cell_angle_alpha 90.00
_cell_angle_beta 90.00
_cell_angle_gamma 90.00
loop_
_symmetry_equiv_pos_as_xyz
'x,y,z'
'-x,-y,-z'
'-x+1/2,-y,z+1/2'
'x+1/2,y,-z+1/2'
'x+1/2,-y+1/2,-z+1/2'
'-x+1/2,y+1/2,z+1/2'
'-x,y+1/2,-z'
'x,-y+1/2,z'
loop_
_atom_site_label
_atom_site_type_symbol
_atom_site_fract_x
_atom_site_fract_y
_atom_site_fract_z
_atom_site_occupancy
Sr1 Sr 0.001 0.250 0.148 1
La1 La 0.250 0.250 0.750 1
Al1 Al 0.000 0.000 0.500 1
```

Peak list (10 most intense, 2θ from 5° to 70°, in order of rising 2θ)
(0 1 1), 16.3 deg, I 23.3; (0 0 2), 20.7 deg, I 28.1; (0 2 0), 25.4 deg, I 37.2; (1 1 2), 27.6 deg, I 22.1; (2 1 1), 30.8 deg, I 100.0; (0 2 2), 33.0 deg, I 34.8; (2 0 2), 33.4 deg, I 17.8; (0 1 3), 33.8 deg, I 25.1; (2 3 1), 48.2 deg, I 28.5; (2 2 4), 57.0 deg, I 22.5

Starting from a cell relaxed with PBE, the powder diffractogram of SrLa3Al8 was calculated for Cu Ka.
Neutral-atom scattering factors, no anomalous dispersion.

Crystal structure
```
data_SrLa3Al8
_symmetry_space_group_name_H-M 'P 3 m 1'
_symmetry_Int_Tables_number 156
_cell_length_a 5.7927
_cell_length_b 5.7927
_cell_length_c 9.4218
_cell_angle_alpha 90.00
_cell_angle_beta 90.00
_cell_angle_gamma 120.00
loop_
_symmetry_equiv_pos_as_xyz
'x,y,z'
'-y,x-y,z'
'-x+y,-x,z'
'-y,-x,z'
'-x+y,y,z'
'x,x-y,z'
loop_
_atom_site_label
_atom_site_type_symbol
_atom_site_fract_x
_atom_site_fract_y
_atom_site_fract_z
_atom_site_occupancy
Sr1 Sr 0.0000 0.0000 0.0000 1
La1 La 0.0000 0.0000 0.3642 1
La2 La 0.6667 0.3333 0.5054 1
La3 La 0.6667 0.3333 0.8663 1
Al1 Al 0.1622 0.3245 0.6800 1
Al2 Al 0.3333 0.6667 0.4310 1
Al3 Al 0.3333 0.6667 0.9342 1
Al4 Al 0.5052 0.0105 0.1862 1
```

Peak list (10 most intense, 2θ from 5° to 70°, in order of rising 2θ)
(1 0 0), 17.7 deg, I 34.3; (1 0 1), 20.1 deg, I 31.3; (1 1 0), 30.9 deg, I 71.9; (1 0 3), 33.7 deg, I 100.0; (1 1 2), 36.4 deg, I 69.1; (0 2 1), 37.1 deg, I 37.0; (2 1 3), 56.7 deg, I 42.5; (0 3 2), 58.6 deg, I 17.2; (2 0 5), 61.6 deg, I 19.5; (2 2 0), 64.3 deg, I 17.5

Starting from a cell relaxed with PBE, the powder diffractogram of SrLaAl was calculated for Cu Ka.
Neutral-atom scattering factors, no anomalous dispersion.

Crystal structure
```
data_SrLaAl
_symmetry_space_group_name_H-M 'C 1 m 1'
_symmetry_Int_Tables_number 8
_cell_length_a 12.757
_cell_length_b 4.520
_cell_length_c 7.340
_cell_angle_alpha 90.00
_cell_angle_beta 92.24
_cell_angle_gamma 90.00
loop_
_symmetry_equiv_pos_as_xyz
'x,y,z'
'x,-y,z'
'x+1/2,y+1/2,z'
'x+1/2,-y+1/2,z'
loop_
_atom_site_label
_atom_site_type_symbol
_atom_site_fract_x
_atom_site_fract_y
_atom_site_fract_z
_atom_site_occupancy
Sr1 Sr 0.000 0.000 0.000 1
Sr2 Sr 0.226 0.500 0.186 1
La1 La 0.098 0.500 0.622 1
La2 La 0.321 0.000 0.713 1
Al1 Al 0.426 0.000 0.293 1
Al2 Al 0.432 0.500 0.488 1
```

Peak list (10 most intense, 2θ from 5° to 70°, in order of rising 2θ)
(0 0 1), 12.1 deg, I 27.2; (1 1 1), 24.3 deg, I 94.1; (2 0 -2), 27.6 deg, I 37.0; (3 1 0), 28.8 deg, I 45.9; (4 0 1), 31.0 deg, I 100.0; (1 1 2), 32.4 deg, I 43.6; (3 1 -2), 37.5 deg, I 14.5; (0 2 0), 39.9 deg, I 24.9; (2 2 -2), 49.2 deg, I 14.9; (4 2 1), 51.4 deg, I 28.5

Starting from a cell relaxed with PBE, the powder diffractogram of SrLaAl was calculated for Cu Ka.
Neutral-atom scattering factors, no anomalous dispersion.

Crystal structure
```
data_SrLaAl
_symmetry_space_group_name_H-M 'P 1 21/m 1'
_symmetry_Int_Tables_number 11
_cell_length_a 4.594
_cell_length_b 4.330
_cell_length_c 11.589
_cell_angle_alpha 90.00
_cell_angle_beta 101.33
_cell_angle_gamma 90.00
loop_
_symmetry_equiv_pos_as_xyz
'x,y,z'
'-x,-y,-z'
'-x,y+1/2,-z'
'x,-y+1/2,z'
loop_
_atom_site_label
_atom_site_type_symbol
_atom_site_fract_x
_atom_site_fract_y
_atom_site_fract_z
_atom_site_occupancy
Sr1 Sr 0.187 0.250 0.375 1
La1 La 0.429 0.250 0.857 1
Al1 Al 0.034 0.250 0.068 1
```

Peak list (10 most intense, 2θ from 5° to 70°, in order of rising 2θ)
(0 0 1), 7.8 deg, I 43.8; (1 0 1), 22.6 deg, I 27.4; (0 1 2), 25.9 deg, I 100.0; (1 0 -3), 27.6 deg, I 69.1; (1 1 -1), 28.6 deg, I 83.3; (1 1 -2), 30.7 deg, I 43.0; (0 0 4), 31.5 deg, I 34.5; (2 0 -1), 39.2 deg, I 26.1; (1 1 -5), 46.1 deg, I 28.0; (2 1 1), 47.6 deg, I 38.1

Starting from a cell relaxed with PBE, the powder diffractogram of SrLaAl was calculated for Cu Ka.
Neutral-atom scattering factors, no anomalous dispersion.

Crystal structure
```
data_SrLaAl
_symmetry_space_group_name_H-M 'P n m a'
_symmetry_Int_Tables_number 62
_cell_length_a 7.314
_cell_length_b 5.560
_cell_length_c 9.686
_cell_angle_alpha 90.00
_cell_angle_beta 90.00
_cell_angle_gamma 90.00
loop_
_symmetry_equiv_pos_as_xyz
'x,y,z'
'-x,-y,-z'
'-x+1/2,-y,z+1/2'
'x+1/2,y,-z+1/2'
'x+1/2,-y+1/2,-z+1/2'
'-x+1/2,y+1/2,z+1/2'
'-x,y+1/2,-z'
'x,-y+1/2,z'
loop_
_atom_site_label
_atom_site_type_symbol
_atom_site_fract_x
_atom_site_fract_y
_atom_site_fract_z
_atom_site_occupancy
Sr1 Sr 0.005 0.250 0.225 1
La1 La 0.218 0.250 0.583 1
Al1 Al 0.245 0.750 0.414 1
```

Peak list (10 most intense, 2θ from 5° to 70°, in order of rising 2θ)
(1 1 1), 22.1 deg, I 72.6; (2 1 1), 30.7 deg, I 100.0; (0 1 3), 32.1 deg, I 65.9; (0 2 0), 32.2 deg, I 35.3; (1 2 2), 39.3 deg, I 11.0; (2 2 2), 45.0 deg, I 22.2; (2 2 4), 56.3 deg, I 19.7; (2 3 1), 56.5 deg, I 11.7; (0 3 3), 57.3 deg, I 12.3; (4 2 0), 60.6 deg, I 22.0